[1]
The following is a theoretical powder X-ray diffraction pattern of RbLi2Cd2Cl7. It was derived from a crystal structure in Alexandria, relaxed with GGA-PBE, using Cu Kα.
Peak positions follow from Bragg's law for the DFT cell and can differ from measured ones.

Crystal structure
a b c (Å): 11.159 11.159 11.159
angles (deg): 152.42 152.42 39.40
Atoms (fractional coordinates):
1 Rb 0.000 0.000 0.000
2 Li 0.250 0.750 0.500
3 Li 0.750 0.250 0.500
4 Cd 0.376 0.376 0.000
5 Cd 0.624 0.624 0.000
6 Cl 0.126 0.626 0.500
7 Cl 0.253 0.253 0.000
8 Cl 0.374 0.874 0.500
9 Cl 0.500 0.500 0.000
10 Cl 0.626 0.126 0.500
11 Cl 0.747 0.747 0.000
12 Cl 0.874 0.374 0.500

Top 10 peaks for 2θ from 15° to 90°, sorted by position:
| 2θ (°) | I/Imax |
| --- | --- |
| 17.20 | 43 |
| 20.97 | 90 |
| 23.65 | 54 |
| 27.04 | 47 |
| 33.70 | 100 |
| 34.14 | 48 |
| 40.03 | 34 |
| 48.40 | 33 |
| 48.73 | 65 |
| 60.55 | 32 |

[2]
The following is a theoretical powder X-ray diffraction pattern of Li2CdSnCl6. It was derived from a crystal structure in Alexandria, relaxed with GGA-PBE, using Cu Kα.
Peak positions follow from Bragg's law for the DFT cell and can differ from measured ones.

Crystal structure
a b c (Å): 7.241 7.241 7.241
angles (deg): 55.41 55.41 55.41
Atoms (fractional coordinates):
1 Li 0.000 0.000 0.000
2 Li 0.497 0.497 0.497
3 Cd 0.197 0.197 0.197
4 Sn 0.699 0.699 0.699
5 Cl 0.140 0.778 0.375
6 Cl 0.269 0.609 0.907
7 Cl 0.375 0.140 0.778
8 Cl 0.609 0.907 0.269
9 Cl 0.778 0.375 0.140
10 Cl 0.907 0.269 0.609

Top 10 peaks for 2θ from 15° to 90°, sorted by position:
| 2θ (°) | I/Imax |
| --- | --- |
| 18.03 | 100 |
| 24.71 | 54 |
| 26.48 | 16 |
| 30.31 | 38 |
| 32.22 | 35 |
| 36.53 | 23 |
| 39.85 | 60 |
| 42.17 | 24 |
| 45.68 | 24 |
| 46.74 | 31 |

[3]
The following is a theoretical powder X-ray diffraction pattern of SrLi2CdCl6. It was derived from a crystal structure in Alexandria, relaxed with GGA-PBE, using Cu Kα.
Peak positions follow from Bragg's law for the DFT cell and can differ from measured ones.

Crystal structure
a b c (Å): 8.739 8.739 7.064
angles (deg): 97.63 97.63 88.39
Atoms (fractional coordinates):
1 Sr 0.099 0.901 0.750
2 Sr 0.901 0.099 0.250
3 Li 0.236 0.401 0.703
4 Li 0.401 0.236 0.203
5 Li 0.599 0.764 0.797
6 Li 0.764 0.599 0.297
7 Cd 0.296 0.704 0.250
8 Cd 0.704 0.296 0.750
9 Cl 0.026 0.214 0.643
10 Cl 0.148 0.617 0.912
11 Cl 0.214 0.026 0.143
12 Cl 0.278 0.443 0.383
13 Cl 0.383 0.852 0.588
14 Cl 0.443 0.278 0.883
15 Cl 0.557 0.722 0.117
16 Cl 0.617 0.148 0.412
17 Cl 0.722 0.557 0.617
18 Cl 0.786 0.974 0.857
19 Cl 0.852 0.383 0.088
20 Cl 0.974 0.786 0.357

Top 10 peaks for 2θ from 15° to 90°, sorted by position:
| 2θ (°) | I/Imax |
| --- | --- |
| 19.39 | 38 |
| 22.74 | 40 |
| 25.65 | 50 |
| 25.77 | 44 |
| 31.86 | 63 |
| 31.99 | 100 |
| 35.19 | 30 |
| 44.48 | 38 |
| 46.95 | 34 |
| 47.05 | 54 |

[4]
The following is a theoretical powder X-ray diffraction pattern of Mg5Cd3Cl16. It was derived from a crystal structure in Alexandria, relaxed with GGA-PBE, using Cu Kα.
Peak positions follow from Bragg's law for the DFT cell and can differ from measured ones.

Crystal structure
a b c (Å): 7.574 7.574 11.809
angles (deg): 90.72 90.72 59.73
Atoms (fractional coordinates):
1 Mg 0.000 0.000 0.000
2 Mg 0.338 0.831 0.502
3 Mg 0.507 0.507 0.239
4 Mg 0.831 0.338 0.502
5 Mg 0.839 0.839 0.735
6 Cd 0.001 0.507 0.003
7 Cd 0.337 0.337 0.502
8 Cd 0.507 0.001 0.003
9 Cl 0.000 0.000 0.615
10 Cl 0.143 0.691 0.869
11 Cl 0.161 0.161 0.393
12 Cl 0.161 0.161 0.888
13 Cl 0.198 0.665 0.371
14 Cl 0.331 0.830 0.120
15 Cl 0.339 0.339 0.128
16 Cl 0.504 0.993 0.621
17 Cl 0.511 0.511 0.620
18 Cl 0.655 0.655 0.376
19 Cl 0.665 0.198 0.371
20 Cl 0.683 0.683 0.863
21 Cl 0.691 0.143 0.869
22 Cl 0.830 0.331 0.120
23 Cl 0.846 0.846 0.124
24 Cl 0.993 0.504 0.621

Top 10 peaks for 2θ from 15° to 90°, sorted by position:
| 2θ (°) | I/Imax |
| --- | --- |
| 15.01 | 100 |
| 15.40 | 42 |
| 15.53 | 67 |
| 30.97 | 34 |
| 31.17 | 37 |
| 31.36 | 88 |
| 35.56 | 48 |
| 35.84 | 73 |
| 48.06 | 64 |
| 48.26 | 36 |

[5]
The following is a theoretical powder X-ray diffraction pattern of Mg3CdCl8. It was derived from a crystal structure in Alexandria, relaxed with GGA-PBE, using Cu Kα.
Peak positions follow from Bragg's law for the DFT cell and can differ from measured ones.

Crystal structure
a b c (Å): 7.470 7.470 7.868
angles (deg): 118.86 118.86 59.97
Atoms (fractional coordinates):
1 Mg 0.000 0.000 0.000
2 Mg 0.000 0.500 0.000
3 Mg 0.500 0.000 0.000
4 Cd 0.500 0.500 0.000
5 Cl 0.225 0.746 0.214
6 Cl 0.238 0.238 0.209
7 Cl 0.254 0.254 0.786
8 Cl 0.254 0.775 0.786
9 Cl 0.746 0.225 0.214
10 Cl 0.746 0.746 0.214
11 Cl 0.762 0.762 0.791
12 Cl 0.775 0.254 0.786

Top 10 peaks for 2θ from 15° to 90°, sorted by position:
| 2θ (°) | I/Imax |
| --- | --- |
| 16.38 | 19 |
| 23.83 | 13 |
| 27.96 | 32 |
| 33.11 | 100 |
| 33.36 | 50 |
| 42.60 | 26 |
| 46.24 | 15 |
| 46.64 | 30 |
| 48.77 | 47 |
| 60.39 | 15 |

[6]
The following is a theoretical powder X-ray diffraction pattern of MgCd2Cl. It was derived from a crystal structure in Alexandria, relaxed with GGA-PBE, using Cu Kα.
Peak positions follow from Bragg's law for the DFT cell and can differ from measured ones.

Crystal structure
a b c (Å): 3.654 3.524 8.449
angles (deg): 90.00 90.61 90.00
Atoms (fractional coordinates):
1 Mg 0.000 0.000 0.000
2 Cd 0.494 0.000 0.739
3 Cd 0.990 0.500 0.551
4 Cl 0.001 0.500 0.194

Top 10 peaks for 2θ from 15° to 90°, sorted by position:
| 2θ (°) | I/Imax |
| --- | --- |
| 21.03 | 42 |
| 27.43 | 89 |
| 32.22 | 53 |
| 32.57 | 52 |
| 33.11 | 61 |
| 35.39 | 100 |
| 36.93 | 48 |
| 37.08 | 48 |
| 40.22 | 36 |
| 41.03 | 82 |

[7]
The following is a theoretical powder X-ray diffraction pattern of RbMgCdCl5. It was derived from a crystal structure in Alexandria, relaxed with GGA-PBE, using Cu Kα.
Peak positions follow from Bragg's law for the DFT cell and can differ from measured ones.

Crystal structure
a b c (Å): 7.497 7.497 9.499
angles (deg): 102.72 102.72 106.94
Atoms (fractional coordinates):
1 Rb 0.164 0.836 0.750
2 Rb 0.836 0.164 0.250
3 Mg 0.500 0.500 0.000
4 Mg 0.500 0.500 0.500
5 Cd 0.190 0.810 0.250
6 Cd 0.810 0.190 0.750
7 Cl 0.136 0.265 0.938
8 Cl 0.199 0.588 0.411
9 Cl 0.265 0.136 0.438
10 Cl 0.412 0.801 0.089
11 Cl 0.442 0.558 0.750
12 Cl 0.558 0.442 0.250
13 Cl 0.588 0.199 0.911
14 Cl 0.735 0.864 0.562
15 Cl 0.801 0.412 0.589
16 Cl 0.864 0.735 0.062

Top 10 peaks for 2θ from 15° to 90°, sorted by position:
| 2θ (°) | I/Imax |
| --- | --- |
| 20.36 | 81 |
| 21.43 | 100 |
| 23.38 | 75 |
| 24.63 | 88 |
| 24.99 | 66 |
| 28.15 | 63 |
| 29.31 | 96 |
| 38.54 | 71 |
| 39.58 | 62 |
| 47.83 | 47 |

[8]
The following is a theoretical powder X-ray diffraction pattern of MnCd2Cl6. It was derived from a crystal structure in Alexandria, relaxed with GGA-PBE, using Cu Kα.
Peak positions follow from Bragg's law for the DFT cell and can differ from measured ones.

Crystal structure
a b c (Å): 7.179 7.179 7.179
angles (deg): 54.78 54.78 54.78
Atoms (fractional coordinates):
1 Mn 0.000 0.000 0.000
2 Cd 0.499 0.499 0.499
3 Cd 0.692 0.692 0.692
4 Cl 0.097 0.396 0.782
5 Cl 0.270 0.896 0.625
6 Cl 0.396 0.782 0.097
7 Cl 0.625 0.270 0.896
8 Cl 0.782 0.097 0.396
9 Cl 0.896 0.625 0.270

Top 10 peaks for 2θ from 15° to 90°, sorted by position:
| 2θ (°) | I/Imax |
| --- | --- |
| 16.24 | 82 |
| 18.31 | 58 |
| 24.97 | 57 |
| 27.00 | 38 |
| 29.02 | 30 |
| 30.81 | 64 |
| 37.10 | 33 |
| 40.31 | 100 |
| 46.48 | 27 |
| 47.70 | 53 |

[9]
The following is a theoretical powder X-ray diffraction pattern of MnCdCl3. It was derived from a crystal structure in Alexandria, relaxed with GGA-PBE, using Cu Kα.
Peak positions follow from Bragg's law for the DFT cell and can differ from measured ones.

Crystal structure
a b c (Å): 4.964 4.964 4.964
angles (deg): 90.00 90.00 90.00
Atoms (fractional coordinates):
1 Mn 0.000 0.000 0.000
2 Cd 0.500 0.500 0.500
3 Cl 0.000 0.000 0.500
4 Cl 0.000 0.500 0.000
5 Cl 0.500 0.000 0.000

Top 10 peaks for 2θ from 15° to 90°, sorted by position:
| 2θ (°) | I/Imax |
| --- | --- |
| 25.37 | 100 |
| 31.21 | 61 |
| 36.19 | 83 |
| 44.72 | 44 |
| 52.11 | 53 |
| 58.83 | 19 |
| 62.00 | 21 |
| 65.09 | 17 |
| 71.05 | 21 |
| 87.98 | 23 |

[10]
The following is a theoretical powder X-ray diffraction pattern of Na2MnCdCl8. It was derived from a crystal structure in Alexandria, relaxed with GGA-PBE, using Cu Kα.
Peak positions follow from Bragg's law for the DFT cell and can differ from measured ones.

Crystal structure
a b c (Å): 6.162 8.085 6.302
angles (deg): 90.00 95.57 90.00
Atoms (fractional coordinates):
1 Na 0.000 0.245 0.000
2 Na 0.000 0.755 0.000
3 Mn 0.500 0.000 0.500
4 Cd 0.500 0.500 0.500
5 Cl 0.240 0.500 0.181
6 Cl 0.272 0.000 0.191
7 Cl 0.293 0.203 0.638
8 Cl 0.293 0.797 0.638
9 Cl 0.707 0.203 0.362
10 Cl 0.707 0.797 0.362
11 Cl 0.728 0.000 0.809
12 Cl 0.760 0.500 0.819

Top 10 peaks for 2θ from 15° to 90°, sorted by position:
| 2θ (°) | I/Imax |
| --- | --- |
| 19.23 | 100 |
| 21.22 | 50 |
| 26.41 | 46 |
| 29.37 | 97 |
| 33.33 | 41 |
| 38.11 | 24 |
| 38.50 | 69 |
| 40.66 | 33 |
| 43.23 | 29 |
| 49.05 | 46 |

[11]
The following is a theoretical powder X-ray diffraction pattern of MnCdSnCl6. It was derived from a crystal structure in Alexandria, relaxed with GGA-PBE, using Cu Kα.
Peak positions follow from Bragg's law for the DFT cell and can differ from measured ones.

Crystal structure
a b c (Å): 6.682 6.682 12.401
angles (deg): 90.00 90.00 120.00
Atoms (fractional coordinates):
1 Mn 0.333 0.667 0.250
2 Mn 0.667 0.333 0.750
3 Cd 0.333 0.667 0.750
4 Cd 0.667 0.333 0.250
5 Sn 0.000 0.000 0.000
6 Sn 0.000 0.000 0.500
7 Cl 0.014 0.362 0.133
8 Cl 0.014 0.652 0.367
9 Cl 0.348 0.362 0.367
10 Cl 0.348 0.986 0.133
11 Cl 0.362 0.014 0.633
12 Cl 0.362 0.348 0.867
13 Cl 0.638 0.652 0.133
14 Cl 0.638 0.986 0.367
15 Cl 0.652 0.014 0.867
16 Cl 0.652 0.638 0.633
17 Cl 0.986 0.348 0.633
18 Cl 0.986 0.638 0.867

Top 10 peaks for 2θ from 15° to 90°, sorted by position:
| 2θ (°) | I/Imax |
| --- | --- |
| 21.00 | 100 |
| 26.68 | 22 |
| 30.39 | 33 |
| 34.20 | 28 |
| 39.66 | 69 |
| 43.90 | 30 |
| 47.12 | 31 |
| 59.50 | 12 |
| 63.24 | 16 |
| 82.48 | 15 |

[12]
The following is a theoretical powder X-ray diffraction pattern of Mn2TlCdCl8. It was derived from a crystal structure in Alexandria, relaxed with GGA-PBE, using Cu Kα.
Peak positions follow from Bragg's law for the DFT cell and can differ from measured ones.

Crystal structure
a b c (Å): 6.149 7.807 6.402
angles (deg): 90.00 90.99 90.00
Atoms (fractional coordinates):
1 Mn 0.000 0.244 0.000
2 Mn 0.000 0.756 0.000
3 Tl 0.500 0.500 0.500
4 Cd 0.500 0.000 0.500
5 Cl 0.202 0.500 0.850
6 Cl 0.216 0.000 0.838
7 Cl 0.252 0.232 0.310
8 Cl 0.252 0.768 0.310
9 Cl 0.748 0.232 0.690
10 Cl 0.748 0.768 0.690
11 Cl 0.784 0.000 0.162
12 Cl 0.798 0.500 0.150

Top 10 peaks for 2θ from 15° to 90°, sorted by position:
| 2θ (°) | I/Imax |
| --- | --- |
| 19.85 | 100 |
| 20.20 | 81 |
| 26.75 | 37 |
| 27.06 | 64 |
| 30.63 | 68 |
| 31.28 | 32 |
| 39.05 | 35 |
| 39.71 | 54 |
| 40.08 | 39 |
| 48.63 | 38 |

[13]
The following is a theoretical powder X-ray diffraction pattern of Cd2N2Cl3. It was derived from a crystal structure in Alexandria, relaxed with GGA-PBE, using Cu Kα.
Peak positions follow from Bragg's law for the DFT cell and can differ from measured ones.

Crystal structure
a b c (Å): 3.976 7.223 7.972
angles (deg): 85.99 83.05 74.03
Atoms (fractional coordinates):
1 Cd 0.121 0.225 0.065
2 Cd 0.879 0.775 0.935
3 N 0.052 0.535 0.547
4 N 0.948 0.465 0.453
5 Cl 0.302 0.995 0.795
6 Cl 0.500 0.500 0.000
7 Cl 0.698 0.005 0.205

Top 10 peaks for 2θ from 15° to 90°, sorted by position:
| 2θ (°) | I/Imax |
| --- | --- |
| 17.32 | 69 |
| 22.49 | 46 |
| 23.44 | 65 |
| 25.50 | 99 |
| 27.68 | 44 |
| 29.83 | 55 |
| 31.08 | 100 |
| 33.20 | 93 |
| 35.98 | 44 |
| 36.27 | 49 |